(1)
This entry pairs a crystal structure of MgMn6O5F7 with its calculated powder XRD pattern. Radiation: CuKα. Structure: a cell relaxed with PBE+U.
Neutral-atom scattering factors, no anomalous dispersion.

Structure:
Unit cell a=10.702 b=6.543 c=6.612 alpha=90.00 beta=101.93 gamma=90.00
Space group C2 (No. 5)
Unique sites:
Mg (0.000, 0.000, 0.000) [2 per cell]
Mn (0.000, 0.520, 0.000) [2 per cell]
Mn (0.000, 0.733, 0.500) [2 per cell]
Mn (0.151, 0.277, 0.639) [4 per cell]
Mn (0.241, 0.763, 0.887) [4 per cell]
O (0.000, 0.443, 0.500) [2 per cell]
O (0.044, 0.742, 0.816) [4 per cell]
O (0.084, 0.285, 0.897) [4 per cell]
F (0.000, 0.038, 0.500) [2 per cell]
F (0.181, 0.971, 0.159) [4 per cell]
F (0.214, 0.570, 0.179) [4 per cell]
F (0.221, 0.757, 0.551) [4 per cell]

Main lines, by angle (2θ from 15° to 90°):
| hkl | two_theta | I (rel.) |
| --- | --- | --- |
| 2 0 -1 | 19.48 | 599 |
| 0 2 0 | 27.26 | 642 |
| 3 1 0 | 28.99 | 428 |
| 2 0 -2 | 29.30 | 809 |
| 2 2 0 | 32.26 | 436 |
| 1 1 2 | 33.56 | 595 |
| 2 2 -1 | 33.73 | 1000 |
| 4 0 0 | 34.25 | 514 |
| 3 1 1 | 34.46 | 696 |
| 3 1 -3 | 46.82 | 423 |

---

(2)
This entry pairs a crystal structure of MgMnPbF6 with its calculated powder XRD pattern. Radiation: CuKα. Structure: a cell relaxed with PBE+U.
Neutral-atom scattering factors, no anomalous dispersion.

Structure:
Unit cell a=5.5182 b=5.5182 c=10.4363 alpha=90.00 beta=90.00 gamma=120.00
Space group P-31c (No. 163)
Unique sites:
Mg (0.3333, 0.6667, 0.2500) [2 per cell]
Mn (0.3333, 0.6667, 0.7500) [2 per cell]
Pb (0.0000, 0.0000, 0.0000) [2 per cell]
F (0.0169, 0.3723, 0.1435) [12 per cell]

Main lines, by angle (2θ from 15° to 90°):
| hkl | two_theta | I (rel.) |
| --- | --- | --- |
| 1 0 0 | 18.57 | 357 |
| 1 0 2 | 25.27 | 1000 |
| 1 1 0 | 32.45 | 226 |
| 2 -1 2 | 36.85 | 169 |
| 2 0 0 | 37.64 | 106 |
| 1 0 4 | 39.35 | 158 |
| 2 0 2 | 41.57 | 253 |
| 1 1 4 | 47.99 | 325 |
| 2 1 2 | 53.70 | 254 |
| 3 0 0 | 57.89 | 115 |

---

(3)
This entry pairs a crystal structure of Rb2MgMoF6 with its calculated powder XRD pattern. Radiation: CuKα. Structure: a cell relaxed with PBE+U.
Neutral-atom scattering factors, no anomalous dispersion.

Structure:
Unit cell a=6.079 b=6.079 c=8.431 alpha=90.00 beta=90.00 gamma=90.00
Space group I4/mmm (No. 139)
Unique sites:
Rb (0.000, 0.500, 0.250) [4 per cell]
Mg (0.000, 0.000, 0.000) [2 per cell]
Mo (0.000, 0.000, 0.500) [2 per cell]
F (0.000, 0.000, 0.242) [4 per cell]
F (0.235, 0.235, 0.000) [8 per cell]

Main lines, by angle (2θ from 15° to 90°):
| hkl | two_theta | I (rel.) |
| --- | --- | --- |
| 1 0 1 | 17.99 | 198 |
| 2 0 0 | 29.39 | 515 |
| 1 1 2 | 29.68 | 1000 |
| 2 0 2 | 36.44 | 237 |
| 2 2 0 | 42.04 | 477 |
| 0 0 4 | 42.91 | 226 |
| 3 1 2 | 52.31 | 399 |
| 2 0 4 | 52.86 | 197 |
| 4 0 0 | 60.97 | 142 |
| 2 2 4 | 61.63 | 277 |